The following is a calculated powder diffractogram of LiTaS2. It was derived from the PBE geometry in the Materials Project, using Cu Kα X-rays.
Peak positions follow from Bragg's law for the DFT cell and can differ from measured ones.

```
LiTaS2
1.0
3.361 0.000 0.000
-1.681 2.911 0.000
0.000 0.000 12.947
Li Ta S
2 2 4
Cartesian
0.000 0.000 0.000
0.000 0.000 6.473
0.000 0.000 3.237
0.000 0.000 9.710
0.000 1.941 1.657
0.000 1.941 4.817
1.681 0.970 8.130
1.681 0.970 11.290
```

Peak list (10 most intense, 2θ = 10–90°, low angle first)
d (Å)  Rel. int.
6.473  100.0
2.911  32.6
2.655  67.2
2.164  59.1
1.733  20.2
1.681  17.5
1.627  16.3
1.420  10.0
1.327  19.7
1.166  10.6

=====

The following is a calculated powder diffractogram of SmBi3Ru4O14. It was derived from the PBE geometry in the Materials Project, using Cu Kα X-rays.
Peak positions follow from Bragg's law for the DFT cell and can differ from measured ones.

```
SmBi3Ru4O14
1.0
3.662 2.114 6.040
-3.662 2.114 6.040
0.000 -4.228 6.040
Sm Bi Ru O
1 3 4 14
Cartesian
0.000 0.000 0.000
-3.662 0.000 9.060
-1.831 1.057 3.020
1.831 1.057 3.020
-1.831 -1.057 6.040
-1.831 1.057 12.080
0.000 2.114 6.040
0.000 0.000 9.060
0.000 0.000 2.231
0.000 -1.715 5.545
-1.485 0.857 5.545
-1.491 -0.861 8.028
0.000 -1.722 10.092
-1.491 0.861 10.092
-1.485 -0.857 12.575
1.485 0.857 5.545
1.491 -0.861 8.028
0.000 1.722 8.028
1.491 0.861 10.092
1.485 -0.857 12.575
0.000 1.715 12.575
0.000 0.000 15.889
```

Peak list (10 most intense, 2θ = 10–90°, low angle first)
d (Å)  Rel. int.
3.020  33.7
2.993  100.0
2.598  47.5
1.843  30.9
1.831  30.0
1.573  15.1
1.566  29.2
1.562  14.6
1.497  10.9
1.188  12.1

=====

The following is a calculated powder diffractogram of La5Pb4. It was derived from the PBE geometry in the Materials Project, using Cu Kα X-rays.
Peak positions follow from Bragg's law for the DFT cell and can differ from measured ones.

```
La5Pb4
1.0
8.661 0.000 0.000
0.000 16.516 0.000
0.000 0.000 8.764
La Pb
20 16
Cartesian
0.246 1.671 1.569
0.246 6.587 1.569
1.045 10.195 2.985
1.045 14.579 2.985
1.824 4.129 4.410
2.507 12.387 0.028
3.286 1.937 7.367
3.286 6.321 7.367
4.085 9.929 5.951
4.085 14.845 5.951
4.577 1.671 2.813
4.577 6.587 2.813
5.375 10.195 1.397
5.375 14.579 1.397
6.154 4.129 8.736
6.838 12.387 4.354
7.616 1.937 5.779
7.616 6.321 5.779
8.415 9.929 7.195
8.415 14.845 7.195
0.674 4.129 7.715
1.429 12.387 5.642
1.912 0.722 4.664
1.912 7.536 4.664
2.419 8.980 0.282
2.419 15.794 0.282
2.901 4.129 1.260
3.656 12.387 3.333
5.005 4.129 5.431
5.760 12.387 7.504
6.242 0.722 8.482
6.242 7.536 8.482
6.749 8.980 4.100
6.749 15.794 4.100
7.232 4.129 3.122
7.987 12.387 1.049
```

Peak list (10 most intense, 2θ = 10–90°, low angle first)
d (Å)  Rel. int.
3.188  100.0
3.173  41.5
3.080  40.7
2.911  29.3
2.828  56.9
2.753  31.0
2.742  33.3
2.730  56.9
2.705  32.6
2.122  30.3

=====

The following is a calculated powder diffractogram of ErSb. It was derived from the PBE geometry in the Materials Project, using Cu Kα X-rays.
Peak positions follow from Bragg's law for the DFT cell and can differ from measured ones.

```
ErSb
1.0
3.774 0.000 0.000
0.000 3.774 0.000
0.000 0.000 3.774
Er Sb
1 1
Cartesian
0.000 0.000 0.000
1.887 1.887 1.887
```

Peak list (9 most intense, 2θ = 10–90°, low angle first)
d (Å)  Rel. int.
3.774  2.8
2.669  100.0
2.179  0.9
1.887  18.1
1.688  1.3
1.541  37.4
1.334  11.5
1.258  0.7
1.193  16.2